Record 1
# TbGePd2
Computed X-ray diffraction stick pattern, Cu Ka. Input: a crystal structure in Alexandria, relaxed with GGA-PBE.

Atomic structure:
Cell: 7.429 7.135 5.625 Å, 90.00 90.00 90.00°
Space group Pnma (No. 62)
One atom of each set of equivalent atoms:
Tb (0.029, 0.250, 0.145) x4
Ge (0.120, 0.750, 0.356) x4
Pd (0.182, 0.052, 0.588) x8

The 10 most intense peaks (2θ from 5° to 70°), low angle first:
two_theta	I_rel
31.5	52
32.1	40
34.9	75
36.4	100
38.5	48
39.8	62
42.7	32
43.1	42
51.8	30
63.6	41

Record 2
# Tb5GePd2
Computed X-ray diffraction stick pattern, Cu Ka. Input: a crystal structure in Alexandria, relaxed with GGA-PBE.

Atomic structure:
Cell: 7.742 7.742 13.300 Å, 90.00 90.00 90.00°
Space group I4/mcm (No. 140)
One atom of each set of equivalent atoms:
Tb (0.000, 0.000, 0.000) x4
Tb (0.161, 0.339, 0.146) x16
Ge (0.000, 0.000, 0.250) x4
Pd (0.133, 0.367, 0.500) x8

The 10 most intense peaks (2θ from 5° to 70°), low angle first:
two_theta	I_rel
26.6	12
31.5	13
32.8	100
35.6	22
36.7	47
40.7	11
52.9	19
56.0	11
57.6	11
68.6	19

Record 3
# Tb3Ge2Pd5
Computed X-ray diffraction stick pattern, Cu Ka. Input: a crystal structure in Alexandria, relaxed with GGA-PBE.

Atomic structure:
Cell: 11.554 12.119 5.834 Å, 90.00 90.00 90.00°
Space group Ibam (No. 72)
One atom of each set of equivalent atoms:
Tb (0.000, 0.000, 0.250) x4
Tb (0.111, 0.294, 0.000) x8
Ge (0.137, 0.155, 0.500) x8
Pd (0.000, 0.500, 0.250) x4
Pd (0.137, 0.352, 0.500) x8
Pd (0.241, 0.000, 0.250) x8

The 10 most intense peaks (2θ from 5° to 70°), low angle first:
two_theta	I_rel
23.3	27
31.1	34
34.1	100
34.4	92
43.0	28
43.3	50
44.1	83
44.9	20
63.8	20
64.8	26

Record 4
# Tb2Ge4Pd5
Computed X-ray diffraction stick pattern, Cu Ka. Input: a crystal structure in Alexandria, relaxed with GGA-PBE.

Atomic structure:
Cell: 5.667 9.679 15.164 Å, 90.00 90.00 90.00°
Space group Fmmm (No. 69)
One atom of each set of equivalent atoms:
Tb (0.000, 0.000, 0.138) x8
Ge (0.000, 0.146, 0.367) x16
Pd (0.000, 0.000, 0.500) x4
Pd (0.250, 0.250, 0.000) x8
Pd (0.250, 0.250, 0.250) x8

The 10 most intense peaks (2θ from 5° to 70°), low angle first:
two_theta	I_rel
25.3	38
29.9	71
32.5	31
36.7	100
36.8	83
39.7	93
44.0	39
48.0	37
61.9	31
66.7	27

Record 5
# GeTePd3
Computed X-ray diffraction stick pattern, Cu Ka. Input: a crystal structure in Alexandria, relaxed with GGA-PBE.

Atomic structure:
Cell: 4.097 7.867 6.150 Å, 90.00 90.00 90.00°
Space group Pmc2_1 (No. 26)
One atom of each set of equivalent atoms:
Ge (0.000, 0.134, 0.000) x2
Te (0.500, 0.368, 0.456) x2
Pd (0.000, 0.174, 0.586) x2
Pd (0.500, 0.064, 0.252) x2
Pd (0.500, 0.292, 0.883) x2

The 10 most intense peaks (2θ from 5° to 70°), low angle first:
two_theta	I_rel
11.2	62
21.7	44
24.5	33
34.8	47
36.5	81
38.3	100
40.9	99
43.5	70
44.2	74
50.2	35

Record 6
# GeTe2Pd8
Computed X-ray diffraction stick pattern, Cu Ka. Input: a crystal structure in Alexandria, relaxed with GGA-PBE.

Atomic structure:
Cell: 4.066 7.820 12.004 Å, 90.00 90.00 90.00°
Space group Immm (No. 71)
One atom of each set of equivalent atoms:
Ge (0.000, 0.000, 0.000) x2
Te (0.000, 0.000, 0.319) x4
Pd (0.000, 0.194, 0.500) x4
Pd (0.000, 0.254, 0.164) x8
Pd (0.000, 0.500, 0.375) x4

The 10 most intense peaks (2θ from 5° to 70°), low angle first:
two_theta	I_rel
23.1	5
32.6	8
35.2	6
39.1	100
39.3	5
44.6	19
45.3	12
46.5	12
65.5	8
66.3	8

Record 7
# Ge2Te2Pd5
Computed X-ray diffraction stick pattern, Cu Ka. Input: a crystal structure in Alexandria, relaxed with GGA-PBE.

Atomic structure:
Cell: 11.792 5.125 7.273 Å, 90.00 124.95 90.00°
Space group C2/m (No. 12)
One atom of each set of equivalent atoms:
Ge (0.145, 0.000, 0.417) x4
Te (0.119, 0.500, 0.843) x4
Pd (0.000, 0.000, 0.000) x2
Pd (0.116, 0.000, 0.739) x4
Pd (0.127, 0.500, 0.221) x4

The 10 most intense peaks (2θ from 5° to 70°), low angle first:
two_theta	I_rel
21.2	36
31.6	50
35.0	100
37.2	46
42.6	30
44.6	77
46.4	39
47.9	31
52.0	35
69.5	21

Record 8
# GeTe2Pd8
Computed X-ray diffraction stick pattern, Cu Ka. Input: a crystal structure in Alexandria, relaxed with GGA-PBE.

Atomic structure:
Cell: 7.6579 7.6579 43.5734 Å, 90.00 90.00 120.00°
Space group R3c (No. 161, hexagonal axes)
One atom of each set of equivalent atoms:
Ge (0.0000, 0.0000, 0.0000) x6
Ge (0.0000, 0.0000, 0.1586) x6
Te (0.0000, 0.0000, 0.3164) x6
Te (0.0176, 0.3487, 0.0752) x18
Pd (0.0000, 0.0000, 0.1001) x6
Pd (0.0000, 0.0000, 0.2176) x6
Pd (0.0000, 0.0000, 0.3770) x6
Pd (0.0000, 0.0000, 0.4421) x6
Pd (0.0049, 0.2599, 0.2726) x18
Pd (0.0323, 0.3341, 0.3416) x18
Pd (0.0369, 0.3378, 0.1424) x18
Pd (0.0950, 0.4242, 0.2088) x18

The 10 most intense peaks (2θ from 5° to 70°), low angle first:
two_theta	I_rel
34.0	10
35.9	20
38.7	9
38.9	100
39.7	18
40.8	91
44.3	18
46.5	13
47.9	9
57.7	11